Entry 1:
Structure and theoretical powder diffraction line list of BaNa2Si4 (a cell relaxed with GGA-PBE; Cu Kα (λ = 1.5418 Å)).
Intensities are scaled so that the largest is 100.

Most intense lines, 2θ from 15° to 90°, low angle first:
h k l  two_theta  intensity
0 3 1  18.0  83
2 1 1  21.8  66
2 4 0  27.1  100
2 0 2  28.0  96
0 4 2  28.7  58
0 6 0  29.6  92
0 1 3  31.7  64
2 5 1  32.7  64
2 4 2  34.4  56
3 4 1  36.0  55

Lattice parameters (Å, degrees): 9.561 18.102 8.568 90.00 90.00 90.00
Space group Ima2 (No. 46)
Inequivalent atoms, fractional coordinates:
Ba: 0.000 0.000 0.000 x4
Ba: 0.250 0.167 0.669 x4
Na: 0.000 0.000 0.499 x4
Na: 0.034 0.726 0.497 x8
Na: 0.250 0.624 0.833 x4
Si: 0.121 0.160 0.296 x8
Si: 0.122 0.640 0.188 x8
Si: 0.250 0.046 0.276 x4
Si: 0.250 0.135 0.061 x4
Si: 0.250 0.526 0.220 x4
Si: 0.250 0.618 0.425 x4

***

Entry 2:
Structure and theoretical powder diffraction line list of TbPr3Sm3Te8 (a cell relaxed with GGA-PBE; Cu Kα (λ = 1.5418 Å)).
Intensities are scaled so that the largest is 100.

Most intense lines, 2θ from 15° to 90°, low angle first:
h k l  two_theta  intensity
0 2 4  28.3  100
2 0 8  40.3  38
2 2 0  40.5  38
0 0 12  49.8  7
4 0 4  50.1  20
0 4 8  58.4  13
2 2 12  66.0  18
2 4 4  66.3  17
0 2 16  73.2  6
4 2 8  73.5  13

Lattice parameters (Å, degrees): 8.9178 8.9178 21.9614 90.00 90.00 120.00
Space group R-3m (No. 166, hexagonal axes)
Inequivalent atoms, fractional coordinates:
Tb: 0.0000 0.0000 0.0000 x3
Pr: 0.0000 0.5000 0.5000 x9
Sm: 0.0000 0.5000 0.0000 x9
Te: 0.0000 0.0000 0.2522 x6
Te: 0.0040 0.5020 0.2512 x18

***

Entry 3:
Structure and theoretical powder diffraction line list of CrBrN2 (a cell relaxed with GGA-PBE; Cu Kα (λ = 1.5418 Å)).
Intensities are scaled so that the largest is 100.

Most intense lines, 2θ from 15° to 90°, low angle first:
h k l  two_theta  intensity
2 2 0  31.4  100
3 1 1  37.0  8
2 2 2  38.7  1
4 0 0  45.0  12
4 2 2  56.0  36
5 1 1  59.7  2
4 4 0  65.6  14
6 2 0  74.6  15
5 3 3  77.8  1
4 4 4  83.1  3

Lattice parameters (Å, degrees): 8.050 8.050 8.050 90.00 90.00 90.00
Space group Fd-3m (No. 227, origin choice 2)
Inequivalent atoms, fractional coordinates:
Cr: 0.125 0.125 0.125 x8
Br: 0.125 0.125 0.625 x8
N: 0.000 0.000 0.000 x16

***

Entry 4:
Structure and theoretical powder diffraction line list of Hf3Co2Au3 (a cell relaxed with GGA-PBE; Cu Kα (λ = 1.5418 Å)).
Intensities are scaled so that the largest is 100.

Most intense lines, 2θ from 15° to 90°, low angle first:
h k l  two_theta  intensity
1 1 0  25.4  16
1 0 1  31.5  29
1 1 1  38.0  91
2 1 0  39.2  100
2 0 1  40.9  59
2 1 1  48.7  16
0 0 2  57.5  15
3 1 1  62.2  33
2 1 2  71.7  34
3 2 1  74.1  19

Lattice parameters (Å, degrees): 7.0255 7.0255 3.2081 90.00 90.00 120.00
Space group P-62m (No. 189)
Inequivalent atoms, fractional coordinates:
Hf: 0.0000 0.5787 0.0000 x3
Co: 0.3333 0.6667 0.5000 x2
Au: 0.0000 0.2345 0.5000 x3